Entry 1:
Tb4Nd2Mg: computed powder diffractogram (Cu Kα (weighted mean of Kα1 and Kα2)), based on a structure optimized by DFT (PBE).
Intensities are scaled so that the largest is 100.

Structure:
Unit cell a=6.0836 b=6.5849 c=11.5769 alpha=90.00 beta=105.14 gamma=90.00
Positions (direct):
Tb  0.0262  0.2500  0.3757
Tb  0.1441  0.2500  0.9413
Tb  0.3547  0.0000  0.2139
Tb  0.3547  0.5000  0.2139
Tb  0.6453  0.0000  0.7861
Tb  0.6453  0.5000  0.7861
Tb  0.8559  0.7500  0.0587
Tb  0.9738  0.7500  0.6243
Nd  0.2832  0.7500  0.9248
Nd  0.3946  0.7500  0.4962
Nd  0.6054  0.2500  0.5038
Nd  0.7168  0.2500  0.0752
Mg  0.1560  0.2500  0.6675
Mg  0.8440  0.7500  0.3325

Top 10 peaks for 15 to 90 degrees two-theta, by angle:
3.161 Å, 28.2 deg, I = 26; 3.042 Å, 29.4 deg, I = 33; 2.872 Å, 31.1 deg, I = 23; 2.833 Å, 31.6 deg, I = 100; 2.825 Å, 31.7 deg, I = 51; 2.699 Å, 33.2 deg, I = 63; 2.681 Å, 33.4 deg, I = 54; 2.075 Å, 43.6 deg, I = 23; 1.663 Å, 55.2 deg, I = 23; 1.423 Å, 65.6 deg, I = 24

***

Entry 2:
Tb3Nd6Mg: computed powder diffractogram (Cu Kα (weighted mean of Kα1 and Kα2)), based on a structure optimized by DFT (PBE).
Intensities are scaled so that the largest is 100.

Structure:
Unit cell a=5.3646 b=10.5312 c=13.1355 alpha=90.00 beta=114.07 gamma=90.00
Positions (direct):
Tb  0.0000  0.0000  0.0000
Tb  0.0000  0.5000  0.5000
Tb  0.2836  0.1197  0.7837
Tb  0.2836  0.3803  0.2837
Tb  0.7164  0.6197  0.7163
Tb  0.7164  0.8803  0.2163
Nd  0.0815  0.6736  0.0814
Nd  0.0815  0.8264  0.5814
Nd  0.2508  0.0686  0.2507
Nd  0.2508  0.4314  0.7507
Nd  0.3874  0.7118  0.3874
Nd  0.3874  0.7882  0.8874
Nd  0.6126  0.2118  0.1126
Nd  0.6126  0.2882  0.6126
Nd  0.7492  0.5686  0.2493
Nd  0.7492  0.9314  0.7493
Nd  0.9185  0.1736  0.4186
Nd  0.9185  0.3264  0.9186
Mg  0.5000  0.0000  0.5000
Mg  0.5000  0.5000  0.0000

Top 10 peaks for 15 to 90 degrees two-theta, by angle:
3.206 Å, 27.8 deg, I = 21; 3.184 Å, 28.0 deg, I = 20; 3.067 Å, 29.1 deg, I = 100; 2.937 Å, 30.4 deg, I = 63; 2.853 Å, 31.4 deg, I = 61; 2.682 Å, 33.4 deg, I = 52; 2.606 Å, 34.4 deg, I = 26; 2.540 Å, 35.3 deg, I = 18; 1.869 Å, 48.7 deg, I = 21; 1.684 Å, 54.5 deg, I = 17

***

Entry 3:
Tb6NdMg2: computed powder diffractogram (Cu Kα (weighted mean of Kα1 and Kα2)), based on a structure optimized by DFT (PBE).
Intensities are scaled so that the largest is 100.

Structure:
Unit cell a=7.6328 b=7.6328 c=7.6328 alpha=56.47 beta=56.47 gamma=56.47
Positions (direct):
Tb  0.1699  0.1699  0.6602
Tb  0.1699  0.6602  0.1699
Tb  0.3842  0.3842  0.8269
Tb  0.3842  0.8269  0.3842
Tb  0.6602  0.1699  0.1699
Tb  0.8269  0.3842  0.3842
Nd  0.1129  0.1129  0.1129
Mg  0.6796  0.6796  0.6796
Mg  0.8569  0.8569  0.8569

Top 10 peaks for 15 to 90 degrees two-theta, by angle:
5.239 Å, 16.9 deg, I = 33; 3.270 Å, 27.3 deg, I = 27; 3.197 Å, 27.9 deg, I = 36; 3.087 Å, 28.9 deg, I = 100; 2.619 Å, 34.2 deg, I = 96; 2.424 Å, 37.1 deg, I = 99; 2.346 Å, 38.4 deg, I = 36; 1.806 Å, 50.6 deg, I = 47; 1.572 Å, 58.7 deg, I = 22; 1.378 Å, 68.1 deg, I = 22

***

Entry 4:
Tb4NdMg: computed powder diffractogram (Cu Kα (weighted mean of Kα1 and Kα2)), based on a structure optimized by DFT (PBE).
Intensities are scaled so that the largest is 100.

Structure:
Unit cell a=6.6681 b=6.6681 c=11.2296 alpha=90.00 beta=90.00 gamma=131.39
Positions (direct):
Tb  0.0024  0.9976  0.5000
Tb  0.1809  0.8191  0.2457
Tb  0.3262  0.6738  0.9664
Tb  0.4800  0.5200  0.2428
Tb  0.5200  0.4800  0.7428
Tb  0.6738  0.3262  0.4664
Tb  0.8191  0.1809  0.7457
Tb  0.9976  0.0024  0.0000
Nd  0.3221  0.6779  0.5267
Nd  0.6779  0.3221  0.0267
Mg  0.1523  0.8477  0.7510
Mg  0.8477  0.1523  0.2510

Top 10 peaks for 15 to 90 degrees two-theta, by angle:
2.997 Å, 29.8 deg, I = 17; 2.819 Å, 31.7 deg, I = 100; 2.807 Å, 31.9 deg, I = 22; 2.744 Å, 32.6 deg, I = 26; 2.026 Å, 44.7 deg, I = 9; 1.963 Å, 46.3 deg, I = 16; 1.630 Å, 56.5 deg, I = 11; 1.623 Å, 56.7 deg, I = 12; 1.598 Å, 57.7 deg, I = 18; 1.409 Å, 66.3 deg, I = 9

***

Entry 5:
Tb4Nd4Mg: computed powder diffractogram (Cu Kα (weighted mean of Kα1 and Kα2)), based on a structure optimized by DFT (PBE).
Intensities are scaled so that the largest is 100.

Structure:
Unit cell a=8.0063 b=8.0063 c=8.0063 alpha=95.75 beta=95.75 gamma=143.10
Positions (direct):
Tb  0.0000  0.3345  0.3345
Tb  0.0000  0.6655  0.6655
Tb  0.3345  0.0000  0.3345
Tb  0.6655  0.0000  0.6655
Nd  0.3342  0.3342  0.6684
Nd  0.3342  0.6658  0.0000
Nd  0.6658  0.3342  0.0000
Nd  0.6658  0.6658  0.3316
Mg  0.0000  0.0000  0.0000

Top 10 peaks for 15 to 90 degrees two-theta, by angle:
4.583 Å, 19.4 deg, I = 2; 3.486 Å, 25.6 deg, I = 4; 2.924 Å, 30.6 deg, I = 100; 2.532 Å, 35.4 deg, I = 51; 1.791 Å, 51.0 deg, I = 36; 1.527 Å, 60.6 deg, I = 43; 1.462 Å, 63.6 deg, I = 12; 1.266 Å, 75.0 deg, I = 6; 1.162 Å, 83.1 deg, I = 18; 1.133 Å, 85.8 deg, I = 16

***

Entry 6:
Tb8Nd3Mg: computed powder diffractogram (Cu Kα (weighted mean of Kα1 and Kα2)), based on a structure optimized by DFT (PBE).
Intensities are scaled so that the largest is 100.

Structure:
Unit cell a=8.3362 b=8.3362 c=8.3362 alpha=117.22 beta=117.22 gamma=94.89
Positions (direct):
Tb  0.1264  0.1264  0.7476
Tb  0.2519  0.7389  0.0000
Tb  0.2611  0.2611  0.5130
Tb  0.3789  0.3789  0.2524
Tb  0.6211  0.8736  0.0000
Tb  0.7389  0.2519  0.0000
Tb  0.7481  0.7481  0.4870
Tb  0.8736  0.6211  0.0000
Nd  0.0000  0.0000  0.0000
Nd  0.2500  0.7500  0.5000
Nd  0.7500  0.2500  0.5000
Mg  0.5000  0.5000  0.0000

Top 10 peaks for 15 to 90 degrees two-theta, by angle:
3.672 Å, 24.2 deg, I = 94; 3.440 Å, 25.9 deg, I = 100; 3.070 Å, 29.1 deg, I = 79; 2.819 Å, 31.7 deg, I = 79; 2.699 Å, 33.2 deg, I = 67; 2.469 Å, 36.4 deg, I = 90; 2.076 Å, 43.6 deg, I = 53; 2.026 Å, 44.7 deg, I = 69; 1.836 Å, 49.7 deg, I = 35; 1.348 Å, 69.8 deg, I = 32

***

Entry 7:
TbNdMg: computed powder diffractogram (Cu Kα (weighted mean of Kα1 and Kα2)), based on a structure optimized by DFT (PBE).
Intensities are scaled so that the largest is 100.

Structure:
Unit cell a=7.0597 b=7.0597 c=5.2765 alpha=90.00 beta=90.00 gamma=136.22
Positions (direct):
Tb  0.0924  0.9076  0.7500
Tb  0.9076  0.0924  0.2500
Nd  0.4093  0.5907  0.7500
Nd  0.5907  0.4093  0.2500
Mg  0.2503  0.7497  0.2500
Mg  0.7497  0.2503  0.7500

Top 10 peaks for 15 to 90 degrees two-theta, by angle:
3.584 Å, 24.8 deg, I = 33; 2.835 Å, 31.6 deg, I = 100; 2.635 Å, 34.0 deg, I = 42; 2.184 Å, 41.3 deg, I = 11; 2.053 Å, 44.1 deg, I = 12; 1.863 Å, 48.9 deg, I = 15; 1.681 Å, 54.6 deg, I = 20; 1.558 Å, 59.3 deg, I = 16; 1.556 Å, 59.4 deg, I = 16; 1.417 Å, 65.9 deg, I = 11

***

Entry 8:
Tb14NdMg: computed powder diffractogram (Cu Kα (weighted mean of Kα1 and Kα2)), based on a structure optimized by DFT (PBE).
Intensities are scaled so that the largest is 100.

Structure:
Unit cell a=10.0539 b=7.0873 c=7.0873 alpha=90.00 beta=90.00 gamma=90.00
Positions (direct):
Tb  0.0000  0.0000  0.0000
Tb  0.0000  0.0002  0.4998
Tb  0.0000  0.4998  0.0002
Tb  0.0000  0.5000  0.5000
Tb  0.2503  0.2495  0.2495
Tb  0.2501  0.2496  0.7504
Tb  0.2501  0.7504  0.2496
Tb  0.2499  0.7505  0.7505
Tb  0.5000  0.9997  0.5002
Tb  0.5000  0.5002  0.9997
Tb  0.7497  0.2495  0.2495
Tb  0.7499  0.2496  0.7504
Tb  0.7499  0.7504  0.2496
Tb  0.7501  0.7505  0.7505
Nd  0.5000  0.0000  0.0000
Mg  0.5000  0.5007  0.5007

Top 10 peaks for 15 to 90 degrees two-theta, by angle:
2.896 Å, 30.9 deg, I = 100; 2.513 Å, 35.7 deg, I = 17; 2.506 Å, 35.8 deg, I = 34; 1.774 Å, 51.5 deg, I = 36; 1.515 Å, 61.2 deg, I = 14; 1.511 Å, 61.3 deg, I = 28; 1.448 Å, 64.3 deg, I = 12; 1.151 Å, 84.1 deg, I = 12; 1.150 Å, 84.2 deg, I = 6; 1.121 Å, 86.9 deg, I = 11

***

Entry 9:
TbNd2MgTe5: computed powder diffractogram (Cu Kα (weighted mean of Kα1 and Kα2)), based on a structure optimized by DFT (PBE).
Intensities are scaled so that the largest is 100.

Structure:
Unit cell a=9.7743 b=9.7743 c=13.5726 alpha=90.00 beta=90.00 gamma=154.24
Positions (direct):
Tb  0.2044  0.7956  0.5000
Tb  0.7956  0.2044  0.0000
Nd  0.1121  0.8879  0.1713
Nd  0.1338  0.8662  0.7915
Nd  0.8662  0.1338  0.2915
Nd  0.8879  0.1121  0.6713
Mg  0.4463  0.5537  0.9448
Mg  0.5537  0.4463  0.4448
Te  0.0495  0.9505  0.5642
Te  0.2829  0.7171  0.1597
Te  0.3122  0.6878  0.8362
Te  0.3644  0.6356  0.4875
Te  0.4956  0.5044  0.2651
Te  0.5044  0.4956  0.7651
Te  0.6356  0.3644  0.9875
Te  0.6878  0.3122  0.3362
Te  0.7171  0.2829  0.6597
Te  0.9505  0.0495  0.0642

Top 10 peaks for 15 to 90 degrees two-theta, by angle:
3.600 Å, 24.7 deg, I = 11; 3.176 Å, 28.1 deg, I = 9; 3.095 Å, 28.8 deg, I = 100; 2.872 Å, 31.1 deg, I = 12; 2.642 Å, 33.9 deg, I = 35; 2.423 Å, 37.1 deg, I = 8; 2.201 Å, 41.0 deg, I = 8; 2.187 Å, 41.3 deg, I = 13; 2.179 Å, 41.4 deg, I = 18; 1.781 Å, 51.3 deg, I = 12

***

Entry 10:
Tb3Nd4MgTe8: computed powder diffractogram (Cu Kα (weighted mean of Kα1 and Kα2)), based on a structure optimized by DFT (PBE).
Intensities are scaled so that the largest is 100.

Structure:
Unit cell a=8.9750 b=8.9750 c=8.9750 alpha=58.23 beta=58.23 gamma=58.23
Positions (direct):
Tb  0.0000  0.5000  0.5000
Tb  0.5000  0.0000  0.5000
Tb  0.5000  0.5000  0.0000
Nd  0.0000  0.0000  0.5000
Nd  0.0000  0.5000  0.0000
Nd  0.5000  0.0000  0.0000
Nd  0.5000  0.5000  0.5000
Mg  0.0000  0.0000  0.0000
Te  0.2389  0.2389  0.7547
Te  0.2389  0.7547  0.2389
Te  0.2453  0.7611  0.7611
Te  0.2536  0.2536  0.2536
Te  0.7464  0.7464  0.7464
Te  0.7547  0.2389  0.2389
Te  0.7611  0.2453  0.7611
Te  0.7611  0.7611  0.2453

Top 10 peaks for 15 to 90 degrees two-theta, by angle:
3.129 Å, 28.5 deg, I = 100; 2.242 Å, 40.2 deg, I = 39; 2.184 Å, 41.3 deg, I = 37; 1.856 Å, 49.1 deg, I = 7; 1.791 Å, 51.0 deg, I = 20; 1.564 Å, 59.1 deg, I = 12; 1.414 Å, 66.1 deg, I = 17; 1.385 Å, 67.7 deg, I = 17; 1.306 Å, 72.3 deg, I = 6; 1.272 Å, 74.6 deg, I = 12

***

Entry 11:
Nd2MgTe4: computed powder diffractogram (Cu Kα (weighted mean of Kα1 and Kα2)), based on a structure optimized by DFT (PBE).
Intensities are scaled so that the largest is 100.

Structure:
Unit cell a=8.3362 b=8.3362 c=7.8366 alpha=117.60 beta=117.60 gamma=30.85
Positions (direct):
Nd  0.2343  0.2343  0.2239
Nd  0.7657  0.7657  0.7761
Mg  0.5000  0.5000  0.5000
Te  0.1250  0.1250  0.4749
Te  0.3870  0.3870  0.0736
Te  0.6130  0.6130  0.9264
Te  0.8750  0.8750  0.5251

Top 10 peaks for 15 to 90 degrees two-theta, by angle:
3.413 Å, 26.1 deg, I = 49; 3.390 Å, 26.3 deg, I = 100; 2.630 Å, 34.1 deg, I = 16; 2.608 Å, 34.4 deg, I = 32; 2.597 Å, 34.5 deg, I = 35; 2.251 Å, 40.1 deg, I = 39; 2.217 Å, 40.7 deg, I = 20; 2.003 Å, 45.3 deg, I = 16; 1.859 Å, 49.0 deg, I = 18; 1.343 Å, 70.1 deg, I = 10

***

Entry 12:
Nd14ThMg: computed powder diffractogram (Cu Kα (weighted mean of Kα1 and Kα2)), based on a structure optimized by DFT (PBE).
Intensities are scaled so that the largest is 100.

Structure:
Unit cell a=7.2748 b=7.2748 c=10.3640 alpha=90.00 beta=90.00 gamma=90.00
Positions (direct):
Nd  0.0000  0.0000  0.0000
Nd  0.0000  0.5000  0.0000
Nd  0.0000  0.5000  0.5000
Nd  0.2484  0.2484  0.2542
Nd  0.2484  0.2484  0.7458
Nd  0.2484  0.7516  0.2542
Nd  0.2484  0.7516  0.7458
Nd  0.5000  0.0000  0.0000
Nd  0.5000  0.0000  0.5000
Nd  0.5000  0.5000  0.0000
Nd  0.7516  0.2484  0.2542
Nd  0.7516  0.2484  0.7458
Nd  0.7516  0.7516  0.2542
Nd  0.7516  0.7516  0.7458
Th  0.0000  0.0000  0.5000
Mg  0.5000  0.5000  0.5000

Top 10 peaks for 15 to 90 degrees two-theta, by angle:
2.977 Å, 30.0 deg, I = 100; 2.591 Å, 34.6 deg, I = 17; 2.572 Å, 34.9 deg, I = 34; 1.825 Å, 50.0 deg, I = 24; 1.819 Å, 50.2 deg, I = 12; 1.560 Å, 59.2 deg, I = 14; 1.552 Å, 59.6 deg, I = 29; 1.489 Å, 62.4 deg, I = 12; 1.184 Å, 81.2 deg, I = 12; 1.181 Å, 81.5 deg, I = 6